Calculated X-ray diffraction stick pattern
Compound: Sr6P3H
Radiation: λ = 1.5418 Å (Cu Kα)
Structure: a structure optimized by DFT (PBE)

Peak list (8 most intense, 10 to 80 degrees two-theta, sorted by position)
2theta	I (rel.)	hkl
24.68	58	0 0 2
26.34	41	3 1 1
27.04	47	0 4 1
31.47	100	3 3 1
34.14	69	3 1 2
34.69	59	0 4 2
37.88	36	3 5 0
45.76	36	6 0 0

Cell and atoms:
Lattice parameters (Å, degrees): 11.8936 14.8331 7.2149 90.00 90.00 90.00
Space group Cmc2_1 (No. 36)
One atom of each set of equivalent atoms:
Sr1 0.0000 0.0409 0.0000 (multiplicity 4)
Sr2 0.0000 0.2199 0.5115 (multiplicity 4)
Sr3 0.1608 0.2703 0.9888 (multiplicity 8)
Sr4 0.1631 0.4769 0.4865 (multiplicity 8)
P1 0.0000 0.3901 0.7688 (multiplicity 4)
P2 0.1774 0.1072 0.7071 (multiplicity 8)
H1 0.0000 0.1920 0.1502 (multiplicity 4)

Calculated X-ray diffraction stick pattern
Compound: NaCeP2O7
Radiation: λ = 1.5418 Å (Cu Kα)
Structure: a structure optimized by DFT (PBE)

Peak list (8 most intense, 10 to 80 degrees two-theta, sorted by position)
2theta	I (rel.)	hkl
13.85	100	0 0 2
18.02	38	0 1 1
26.40	41	2 1 0
26.77	78	0 1 3
27.32	91	2 1 1
33.60	35	0 2 0
42.04	37	4 0 1
45.17	44	2 2 3

Cell and atoms:
Lattice parameters (Å, degrees): 8.7211 5.3341 12.7918 90.00 90.00 90.00
Space group Pnma (No. 62)
One atom of each set of equivalent atoms:
Na1 0.1200 0.2500 0.0771 (multiplicity 4)
Ce1 0.1896 0.2500 0.7636 (multiplicity 4)
P1 0.0111 0.2500 0.3157 (multiplicity 4)
P2 0.2407 0.7500 0.9655 (multiplicity 4)
O1 0.0669 0.0067 0.2626 (multiplicity 8)
O2 0.0783 0.2500 0.4335 (multiplicity 4)
O3 0.1626 0.7500 0.6790 (multiplicity 4)
O4 0.1662 0.5129 0.9204 (multiplicity 8)
O5 0.2414 0.7500 0.0845 (multiplicity 4)